(1)
PrNdSe3: calculated X-ray diffraction stick pattern (λ = 1.5418 Å (Cu Kα)), based on a structure optimized by DFT (GGA-PBE).
Intensities are scaled so that the largest is 100.

Structural model:
```
PrNdSe3
1.0
11.5818 0.0000 0.0000
0.0000 4.2151 0.0000
0.0000 0.0000 11.2054
Pr Nd Se
4 4 12
direct
0.1941 0.2500 0.0025
0.3059 0.7500 0.5025
0.6941 0.2500 0.4975
0.8059 0.7500 0.9975
0.0106 0.2500 0.6870
0.4894 0.7500 0.1870
0.5106 0.2500 0.8130
0.9894 0.7500 0.3130
0.0445 0.7500 0.8738
0.1195 0.2500 0.4442
0.2296 0.7500 0.2008
0.2704 0.2500 0.7008
0.3805 0.7500 0.9442
0.4555 0.2500 0.3738
0.5445 0.7500 0.6262
0.6195 0.2500 0.0558
0.7296 0.7500 0.2992
0.7704 0.2500 0.7992
0.8805 0.7500 0.5558
0.9555 0.2500 0.1262
```

Peak list (10 most intense, 2θ from 15° to 90°, sorted by position)
2θ (°), I_rel
22.1, 60
27.6, 65
30.7, 64
32.0, 87
32.4, 57
32.9, 100
35.4, 72
38.6, 54
41.1, 50
42.9, 72

(2)
Pr3NdY2Se6: calculated X-ray diffraction stick pattern (λ = 1.5418 Å (Cu Kα)), based on a structure optimized by DFT (GGA-PBE).
Intensities are scaled so that the largest is 100.

Structural model:
```
Pr3NdY2Se6
1.0
3.6139 -6.2889 0.0000
3.6139 6.2889 0.0000
-2.4206 0.0000 6.9165
Pr Nd Y Se
3 1 2 6
direct
0.0000 0.0000 0.0000
0.3387 0.6613 0.0000
0.6613 0.3387 0.0000
0.5000 0.5000 0.5000
0.1662 0.8338 0.5000
0.8338 0.1662 0.5000
0.0783 0.4204 0.2604
0.2365 0.2365 0.7352
0.4204 0.0783 0.2604
0.5796 0.9217 0.7396
0.7635 0.7635 0.2648
0.9217 0.5796 0.7396
```

Peak list (10 most intense, 2θ from 15° to 90°, sorted by position)
2θ (°), I_rel
30.1, 100
42.8, 25
43.0, 12
43.2, 12
43.3, 24
53.0, 7
53.5, 13
62.6, 12
71.3, 11
79.3, 8

(3)
Pr2NdSi4: calculated X-ray diffraction stick pattern (λ = 1.5418 Å (Cu Kα)), based on a structure optimized by DFT (GGA-PBE).
Intensities are scaled so that the largest is 100.

Structural model:
```
Pr2NdSi4
1.0
-1.9852 2.2337 9.0160
1.9852 -2.2337 9.0160
1.9852 2.2337 -9.0160
Pr Nd Si
2 1 4
direct
0.1817 0.1817 0.0000
0.8183 0.8183 0.0000
0.0000 0.5000 0.5000
0.3558 0.3558 0.0000
0.4346 0.9346 0.5000
0.5654 0.0654 0.5000
0.6442 0.6442 0.0000
```

Peak list (10 most intense, 2θ from 15° to 90°, sorted by position)
2θ (°), I_rel
20.5, 29
26.9, 61
29.7, 29
31.7, 100
31.9, 59
36.2, 26
40.4, 28
49.2, 24
50.9, 33
56.8, 23

(4)
PrNd2Si4: calculated X-ray diffraction stick pattern (λ = 1.5418 Å (Cu Kα)), based on a structure optimized by DFT (GGA-PBE).
Intensities are scaled so that the largest is 100.

Structural model:
```
PrNd2Si4
1.0
-1.9801 2.2305 8.9793
1.9801 -2.2305 8.9793
1.9801 2.2305 -8.9793
Pr Nd Si
1 2 4
direct
0.0000 0.0000 0.0000
0.1819 0.6819 0.5000
0.8181 0.3181 0.5000
0.3542 0.8542 0.5000
0.4340 0.4340 0.0000
0.5660 0.5660 0.0000
0.6458 0.1458 0.5000
```

Peak list (10 most intense, 2θ from 15° to 90°, sorted by position)
2θ (°), I_rel
20.5, 29
27.0, 61
29.9, 29
31.8, 100
32.0, 59
36.3, 24
40.4, 26
49.3, 24
51.1, 33
57.0, 23